# 1
For Ti2MnO5, DFT lattice parameters and positions (PBE+U) gives the simulated XRD peak list in this record (λ = 1.5418 Å (Cu Kα)).

Peak list (8 most intense, 2θ from 10° to 90°, low angle first)
2θ/deg	I/Imax	index
17.71	35	0 2 0
25.37	100	1 1 0
31.44	71	0 2 3
36.03	23	1 3 0
36.47	28	1 1 3
48.58	32	2 0 0
54.90	26	1 5 2
59.01	20	2 2 3

Cell and atoms:
a b c (Å): 3.748 10.016 10.375
angles (deg): 90.00 90.00 90.00
Space group Cmcm (No. 63)
Asymmetric unit:
Ti 0.000 0.131 0.067
Mn 0.000 0.192 0.750
O 0.000 0.045 0.609
O 0.000 0.202 0.250
O 0.000 0.314 0.558


# 2
For TiMnWO6, DFT lattice parameters and positions (PBE+U) gives the simulated XRD peak list in this record (λ = 1.5418 Å (Cu Kα)).

Peak list (8 most intense, 2θ from 10° to 90°, low angle first)
2θ/deg	I/Imax	index
18.92	49	0 0 2
22.10	76	1 0 1
27.62	100	1 0 2
34.91	50	1 1 0
35.06	24	1 0 3
40.00	42	1 1 2
45.08	24	2 0 2
52.84	57	1 1 4

Cell and atoms:
a b c (Å): 5.1408 5.1408 9.3830
angles (deg): 90.00 90.00 120.00
Space group P-31c (No. 163)
Asymmetric unit:
Ti 0.3333 0.6667 0.2500
Mn 0.0000 0.0000 0.0000
W 0.3333 0.6667 0.7500
O 0.0038 0.3600 0.6369


# 3
For TiMn2ZnO6, DFT lattice parameters and positions (PBE+U) gives the simulated XRD peak list in this record (λ = 1.5418 Å (Cu Kα)).

Peak list (8 most intense, 2θ from 10° to 90°, low angle first)
2θ/deg	I/Imax	index
24.15	28	1 0 -1
32.98	100	1 0 1
33.29	47	0 1 -2
35.33	38	1 1 -1
35.49	73	2 -1 0
48.83	21	0 2 0
53.98	21	2 -1 2
54.25	22	1 1 -3

Cell and atoms:
a b c (Å): 5.055 5.063 5.410
angles (deg): 117.32 90.13 119.70
Space group P1 (No. 1)
Asymmetric unit:
Ti 0.000 0.000 0.000
Mn 0.290 0.583 0.890
Mn 0.790 0.585 0.387
Zn 0.508 0.022 0.538
O 0.058 0.451 0.162
O 0.171 0.087 0.680
O 0.383 0.079 0.160
O 0.583 0.756 0.675
O 0.696 0.762 0.159
O 0.909 0.496 0.677


# 4
For Mn2TlO4, DFT lattice parameters and positions (PBE+U) gives the simulated XRD peak list in this record (λ = 1.5418 Å (Cu Kα)).

Peak list (8 most intense, 2θ from 10° to 90°, low angle first)
2θ/deg	I/Imax	index
16.89	36	1 1 0
27.53	100	2 0 0
28.38	61	2 2 -1
31.83	43	1 1 1
32.12	44	1 1 -2
33.04	75	1 3 -1
33.61	43	3 1 -2
56.83	40	4 0 0

Cell and atoms:
a b c (Å): 8.819 8.976 6.386
angles (deg): 90.00 132.77 90.00
Space group C2/c (No. 15)
Asymmetric unit:
Mn 0.000 0.000 0.000
Mn 0.250 0.250 0.000
Tl 0.000 0.387 0.250
O 0.018 0.243 0.988
O 0.221 0.029 0.960